No. 1
Structure and computed X-ray powder pattern of GdSn3 (a crystal structure in Alexandria, relaxed with GGA-PBE; Cu Ka).
Intensities are scaled so that the largest is 100.

Peak list (10 most intense, 2θ from 10° to 90°, low angle first)
(1 1 1), 3.116 Å, 2θ 28.65, intensity 20; (1 1 3), 2.896 Å, 2θ 30.88, intensity 71; (0 0 8), 2.775 Å, 2θ 32.26, intensity 42; (1 1 5), 2.567 Å, 2θ 34.95, intensity 100; (2 0 0), 2.225 Å, 2θ 40.54, intensity 55; (2 0 8), 1.736 Å, 2θ 52.73, intensity 43; (2 2 0), 1.573 Å, 2θ 58.69, intensity 23; (1 1 13), 1.501 Å, 2θ 61.81, intensity 24; (3 1 3), 1.383 Å, 2θ 67.78, intensity 16; (2 2 8), 1.369 Å, 2θ 68.56, intensity 20

Cell and atoms:
Cell: 4.453 4.448 22.200 Å, 90.00 90.00 90.00°
Space group Amm2 (No. 38)
Inequivalent atoms, fractional coordinates:
Gd (0.000, 0.000, 0.000) x2
Gd (0.500, 0.000, 0.270) x2
Sn (0.000, 0.000, 0.383) x2
Sn (0.000, 0.000, 0.617) x2
Sn (0.000, 0.000, 0.752) x2
Sn (0.500, 0.000, 0.120) x2
Sn (0.500, 0.000, 0.507) x2
Sn (0.500, 0.000, 0.884) x2


No. 2
Structure and computed X-ray powder pattern of Ce2CoC4 (a crystal structure in Alexandria, relaxed with GGA-PBE; Cu Ka).
Intensities are scaled so that the largest is 100.

Peak list (10 most intense, 2θ from 10° to 90°, low angle first)
(1 2 1), 3.244 Å, 2θ 27.50, intensity 100; (1 3 0), 3.078 Å, 2θ 29.01, intensity 35; (2 1 1), 2.870 Å, 2θ 31.17, intensity 49; (0 0 2), 2.570 Å, 2θ 34.91, intensity 21; (3 1 0), 2.384 Å, 2θ 37.74, intensity 27; (1 1 2), 2.360 Å, 2θ 38.13, intensity 19; (2 0 2), 2.107 Å, 2θ 42.93, intensity 21; (2 4 0), 2.091 Å, 2θ 43.27, intensity 17; (0 4 2), 1.807 Å, 2θ 50.50, intensity 25; (3 3 2), 1.572 Å, 2θ 58.74, intensity 37

Cell and atoms:
Cell: 7.356 10.166 5.140 Å, 90.00 90.00 90.00°
Space group Ibam (No. 72)
Inequivalent atoms, fractional coordinates:
Ce (0.176, 0.143, 0.000) x8
Co (0.000, 0.500, 0.250) x4
C (0.156, 0.123, 0.500) x8
C (0.166, 0.417, 0.000) x8


No. 3
Structure and computed X-ray powder pattern of Rb3Ac3ZnO8 (a crystal structure in Alexandria, relaxed with GGA-PBE; Cu Ka).
Intensities are scaled so that the largest is 100.

Peak list (10 most intense, 2θ from 10° to 90°, low angle first)
(0 0 1), 6.636 Å, 2θ 13.34, intensity 100; (1 1 -1), 5.333 Å, 2θ 16.62, intensity 23; (0 0 2), 3.320 Å, 2θ 26.86, intensity 76; (2 2 -1), 3.149 Å, 2θ 28.34, intensity 23; (4 0 -2), 3.132 Å, 2θ 28.50, intensity 48; (2 2 0), 3.065 Å, 2θ 29.13, intensity 88; (4 0 0), 2.836 Å, 2θ 31.55, intensity 57; (2 2 -2), 2.666 Å, 2θ 33.61, intensity 94; (2 2 2), 1.985 Å, 2θ 45.72, intensity 37; (6 2 -2), 1.903 Å, 2θ 47.79, intensity 35

Cell and atoms:
Cell: 13.406 7.285 7.842 Å, 90.00 122.19 90.00°
Space group C2/m (No. 12)
Inequivalent atoms, fractional coordinates:
Rb (0.000, 0.000, 0.000) x2
Rb (0.250, 0.250, 0.000) x4
Ac (0.000, 0.500, 0.500) x2
Ac (0.250, 0.250, 0.500) x4
Zn (0.000, 0.000, 0.500) x2
O (0.025, 0.205, 0.351) x8
O (0.222, 0.500, 0.689) x4
O (0.223, 0.500, 0.276) x4